Diffraction record for SmCr2Ga4. The X-ray diffraction stick pattern is computed, not measured: it uses a PBE-relaxed structure and a wavelength of 1.5418 Å.

Structural model:
Lattice parameters (Å, degrees): 5.138 6.604 6.611 90.00 90.00 90.00
Positions (direct):
Sm: 0.000 0.000 0.000
Sm: 0.500 0.500 0.500
Cr: 0.249 0.500 0.000
Cr: 0.251 0.000 0.500
Cr: 0.749 0.000 0.500
Cr: 0.751 0.500 0.000
Ga: 0.000 0.304 0.305
Ga: 0.000 0.304 0.695
Ga: 0.000 0.696 0.305
Ga: 0.000 0.696 0.695
Ga: 0.500 0.196 0.195
Ga: 0.500 0.196 0.805
Ga: 0.500 0.804 0.195
Ga: 0.500 0.804 0.805

Most intense lines, 10° ≤ 2θ ≤ 90°, by intensity:
2theta	I_rel
35.0	100
38.5	91
40.1	73
44.7	73
35.0	65
44.8	51
70.7	34
80.5	31
69.5	27
83.6	24
62.7	24
53.0	21

---

Diffraction record for SrCr3Ga. The X-ray diffraction stick pattern is computed, not measured: it uses a PBE-relaxed structure and a wavelength of 1.5418 Å.

Structural model:
Lattice parameters (Å, degrees): 4.972 4.972 4.972 90.00 90.00 90.00
Positions (direct):
Sr: 0.000 0.000 0.000
Cr: 0.000 0.500 0.500
Cr: 0.500 0.000 0.500
Cr: 0.500 0.500 0.000
Ga: 0.500 0.500 0.500

Most intense lines, 10° ≤ 2θ ≤ 90°, by intensity:
2theta	I_rel
36.1	100
52.0	66
31.2	60
25.3	55
87.8	27
44.6	25
65.0	21
61.9	21
70.9	13
58.7	11
76.7	10
17.8	9

---

Diffraction record for Ti6CrGa5. The X-ray diffraction stick pattern is computed, not measured: it uses a PBE-relaxed structure and a wavelength of 1.5418 Å.

Structural model:
Lattice parameters (Å, degrees): 7.456 7.456 7.456 148.99 118.39 70.58
Positions (direct):
Ti: 0.074 0.334 0.740
Ti: 0.226 0.000 0.226
Ti: 0.405 0.666 0.740
Ti: 0.595 0.334 0.260
Ti: 0.774 0.000 0.774
Ti: 0.926 0.666 0.260
Cr: 0.000 0.500 0.500
Ga: 0.168 0.168 0.000
Ga: 0.340 0.840 0.500
Ga: 0.500 0.500 0.000
Ga: 0.660 0.160 0.500
Ga: 0.832 0.832 0.000

Most intense lines, 10° ≤ 2θ ≤ 90°, by intensity:
2theta	I_rel
39.5	100
44.7	17
45.5	17
47.6	14
78.8	11
80.0	11
65.7	10
67.4	9
85.1	9
83.1	9
68.0	9
23.3	4